For Mg3Ta, a cell relaxed with GGA-PBE gives the computed powder diffraction line list in this record (a wavelength of 1.5418 Å).
No peak broadening, texture or thermal motion is included.

The 12 most intense peaks (10 to 90 degrees two-theta), in order of rising 2θ:
| 2θ (°) | Rel. int. | (hkl) |
| --- | --- | --- |
| 20.66 | 100 | 1 0 0 |
| 29.38 | 85 | 1 1 0 |
| 36.19 | 93 | 1 1 1 |
| 42.03 | 46 | 2 0 0 |
| 47.28 | 47 | 2 1 0 |
| 52.11 | 36 | 2 1 1 |
| 60.95 | 30 | 2 2 0 |
| 65.09 | 23 | 3 0 0 |
| 69.09 | 16 | 3 1 0 |
| 72.99 | 35 | 3 1 1 |
| 80.56 | 10 | 3 2 0 |
| 84.28 | 19 | 3 2 1 |

Structural model:
Cell lengths 4.299, 4.299, 4.299 Å; angles 90.00, 90.00, 90.00 degrees
Element x y z (fractional)
Mg (0.000, 0.000, 0.500)
Mg (0.000, 0.500, 0.000)
Mg (0.500, 0.000, 0.000)
Ta (0.500, 0.500, 0.500)



For Te3MoWS, a cell relaxed with GGA-PBE gives the computed powder diffraction line list in this record (a wavelength of 1.5418 Å).
No peak broadening, texture or thermal motion is included.

The 12 most intense peaks (10 to 90 degrees two-theta), in order of rising 2θ:
| 2θ (°) | Rel. int. | (hkl) |
| --- | --- | --- |
| 11.25 | 95 | 0 0 5 |
| 29.86 | 56 | 1 0 0 |
| 33.92 | 17 | 0 1 7 |
| 35.09 | 100 | 1 0 8 |
| 36.37 | 23 | 1 0 9 |
| 42.48 | 58 | 0 1 13 |
| 44.21 | 20 | 1 0 14 |
| 52.97 | 42 | 1 1 0 |
| 65.13 | 16 | 0 2 8 |
| 70.13 | 13 | 2 0 13 |
| 74.73 | 19 | 1 1 21 |
| 88.68 | 15 | 2 1 8 |

Structural model:
Cell lengths 3.458, 3.458, 39.317 Å; angles 90.00, 90.00, 120.00 degrees
Element x y z (fractional)
Te (0.000, 0.000, 0.000)
Te (0.000, 0.000, 0.094)
Te (0.000, 0.000, 0.376)
Te (0.000, 0.000, 0.470)
Te (0.333, 0.667, 0.188)
Te (0.333, 0.667, 0.282)
Mo (0.000, 0.000, 0.859)
Mo (0.333, 0.667, 0.047)
W (0.000, 0.000, 0.235)
W (0.333, 0.667, 0.423)
S (0.333, 0.667, 0.821)
S (0.333, 0.667, 0.897)